Simulated PXRD pattern of LaAg6Ge2 for CuKα, from a crystal structure in Alexandria, relaxed with GGA-PBE.
Peak positions follow from Bragg's law for the DFT cell and can differ from measured ones.

```
data_LaAg6Ge2
_chemical_formula_sum 'La1 Ag6 Ge2'
_symmetry_space_group_name_H-M 'P 4/m m m'
_symmetry_Int_Tables_number 123
_symmetry_space_group_name_Hall '-P 4 2'
_cell_length_a 4.3902
_cell_length_b 4.3902
_cell_length_c 9.3009
_cell_angle_alpha 90.00
_cell_angle_beta 90.00
_cell_angle_gamma 90.00
loop_
_atom_site_label
_atom_site_type_symbol
_atom_site_fract_x
_atom_site_fract_y
_atom_site_fract_z
La1 La 0.0000 0.0000 0.0000
Ag1 Ag 0.0000 0.0000 0.5000
Ag2 Ag 0.0000 0.5000 0.2936
Ag3 Ag 0.5000 0.5000 0.5000
Ge1 Ge 0.5000 0.5000 0.1330
```

Most intense lines, 10 to 80 degrees two-theta, in order of falling intensity:
index  2θ/deg  I/Imax
1 1 2  34.75  1000
2 0 0  41.13  873
3 1 2  70.84  244
2 2 0  59.57  190
3 1 3  74.97  141
1 0 3  35.45  118
2 0 4  57.77  103
2 0 5  65.81  97